The following is a computed powder X-ray diffraction pattern of Mo6Ru7. It was derived from a crystal structure in Alexandria, relaxed with PBE, using Cu Ka.
Neutral-atom scattering factors, no anomalous dispersion.

Crystal structure
Unit cell a=5.0770 b=5.0770 c=26.5360 alpha=90.00 beta=90.00 gamma=120.00
Space group R-3m (No. 166, hexagonal axes)
Inequivalent atoms, fractional coordinates:
Mo 0.0000 0.0000 0.0467 [6 per cell]
Mo 0.0000 0.0000 0.1494 [6 per cell]
Mo 0.0000 0.0000 0.3362 [6 per cell]
Ru 0.0000 0.0000 0.5000 [3 per cell]
Ru 0.0075 0.5037 0.9117 [18 per cell]

The 6 most intense peaks (2θ from 10° to 80°), low angle first:
(hkl), 2theta, I/Imax
1 1 0, 35.36, 47
1 0 10, 39.67, 48
1 1 6, 40.99, 100
0 2 1, 41.20, 50
0 1 11, 42.75, 54
2 0 5, 44.61, 57

The following is a computed powder X-ray diffraction pattern of TiSbMoRu. It was derived from a crystal structure in Alexandria, relaxed with PBE, using Cu Ka.
Neutral-atom scattering factors, no anomalous dispersion.

Crystal structure
Unit cell a=6.3725 b=6.3725 c=6.3725 alpha=90.00 beta=90.00 gamma=90.00
Space group F-43m (No. 216)
Inequivalent atoms, fractional coordinates:
Ti 0.0000 0.0000 0.0000 [4 per cell]
Sb 0.0000 0.0000 0.5000 [4 per cell]
Mo 0.2500 0.2500 0.2500 [4 per cell]
Ru 0.2500 0.2500 0.7500 [4 per cell]

The 6 most intense peaks (2θ from 10° to 80°), low angle first:
(hkl), 2theta, I/Imax
1 1 1, 24.19, 10
2 2 0, 40.02, 100
3 1 1, 47.31, 5
4 0 0, 57.88, 16
3 3 1, 63.65, 2
4 2 2, 72.69, 33

The following is a computed powder X-ray diffraction pattern of SnMoRu. It was derived from a crystal structure in Alexandria, relaxed with PBE, using Cu Ka.
Neutral-atom scattering factors, no anomalous dispersion.

Crystal structure
Unit cell a=2.9845 b=2.9845 c=11.2522 alpha=90.00 beta=90.00 gamma=90.00
Space group I4mm (No. 107)
Inequivalent atoms, fractional coordinates:
Sn 0.0000 0.0000 0.0000 [2 per cell]
Mo 0.0000 0.0000 0.6843 [2 per cell]
Ru 0.0000 0.0000 0.3308 [2 per cell]

The 6 most intense peaks (2θ from 10° to 80°), low angle first:
(hkl), 2theta, I/Imax
1 0 3, 38.55, 100
1 1 0, 42.85, 38
0 0 6, 48.54, 12
2 0 0, 62.21, 13
1 1 6, 66.72, 18
2 1 3, 75.62, 28

The following is a computed powder X-ray diffraction pattern of Ta3MoRu2. It was derived from a crystal structure in Alexandria, relaxed with PBE, using Cu Ka.
Neutral-atom scattering factors, no anomalous dispersion.

Crystal structure
Unit cell a=4.5112 b=13.5284 c=6.3893 alpha=90.00 beta=90.00 gamma=90.00
Space group Cmmm (No. 65)
Inequivalent atoms, fractional coordinates:
Ta 0.0000 0.0000 0.2476 [4 per cell]
Ta 0.0000 0.3324 0.2473 [8 per cell]
Mo 0.0000 0.1650 0.0000 [4 per cell]
Ru 0.0000 0.1658 0.5000 [4 per cell]
Ru 0.0000 0.5000 0.0000 [2 per cell]
Ru 0.0000 0.5000 0.5000 [2 per cell]

The 6 most intense peaks (2θ from 10° to 80°), low angle first:
(hkl), 2theta, I/Imax
1 3 0, 27.96, 9
2 0 0, 39.96, 100
0 0 4, 57.71, 6
2 6 0, 57.82, 11
3 3 0, 65.38, 3
3 3 2, 72.56, 34

The following is a computed powder X-ray diffraction pattern of TcMoRu2. It was derived from a crystal structure in Alexandria, relaxed with PBE, using Cu Ka.
Neutral-atom scattering factors, no anomalous dispersion.

Crystal structure
Unit cell a=9.0705 b=2.7545 c=4.7578 alpha=90.00 beta=100.41 gamma=90.00
Space group Cm (No. 8)
Inequivalent atoms, fractional coordinates:
Tc 0.0000 0.0000 0.0000 [2 per cell]
Mo 0.2537 0.5000 0.2785 [2 per cell]
Ru 0.0090 0.5000 0.5195 [2 per cell]
Ru 0.2513 0.0000 0.7811 [2 per cell]

The 6 most intense peaks (2θ from 10° to 80°), low angle first:
(hkl), 2theta, I/Imax
1 1 1, 40.18, 100
4 0 0, 40.44, 33
3 1 -1, 46.72, 43
2 0 2, 47.00, 21
1 1 -3, 68.24, 13
5 1 1, 68.64, 13

The following is a computed powder X-ray diffraction pattern of TeMoRu2. It was derived from a crystal structure in Alexandria, relaxed with PBE, using Cu Ka.
Neutral-atom scattering factors, no anomalous dispersion.

Crystal structure
Unit cell a=2.9193 b=4.1339 c=5.6508 alpha=90.00 beta=104.85 gamma=90.00
Space group Pm (No. 6)
Inequivalent atoms, fractional coordinates:
Te 0.0000 0.0000 0.0000 [1 per cell]
Mo 0.6214 0.5000 0.2471 [1 per cell]
Ru 0.2380 0.0000 0.4808 [1 per cell]
Ru 0.8525 0.5000 0.7110 [1 per cell]

The 6 most intense peaks (2θ from 10° to 80°), low angle first:
(hkl), 2theta, I/Imax
1 0 -1, 31.73, 14
1 1 0, 38.65, 77
0 1 2, 39.55, 100
0 2 0, 43.80, 30
1 2 2, 70.53, 18
0 3 2, 77.61, 21

The following is a computed powder X-ray diffraction pattern of Te16Mo9Ru3. It was derived from a crystal structure in Alexandria, relaxed with PBE, using Cu Ka.
Neutral-atom scattering factors, no anomalous dispersion.

Crystal structure
Unit cell a=7.1060 b=9.8377 c=10.3810 alpha=90.55 beta=91.32 gamma=94.44
Space group P1 (No. 1)
Inequivalent atoms, fractional coordinates:
Te 0.0000 0.0000 0.0000 [1 per cell]
Te 0.0022 0.5014 0.4956 [1 per cell]
Te 0.1305 0.6756 0.1715 [1 per cell]
Te 0.1319 0.1710 0.6709 [1 per cell]
Te 0.1705 0.2062 0.2996 [1 per cell]
Te 0.1743 0.7161 0.7985 [1 per cell]
Te 0.2741 0.8674 0.4710 [1 per cell]
Te 0.2820 0.3665 0.9805 [1 per cell]
Te 0.5034 0.9812 0.1168 [1 per cell]
Te 0.5106 0.4812 0.6169 [1 per cell]
Te 0.5947 0.6307 0.2919 [1 per cell]
Te 0.6036 0.1304 0.7901 [1 per cell]
Te 0.6504 0.1724 0.4242 [1 per cell]
Te 0.6541 0.6738 0.9232 [1 per cell]
Te 0.7713 0.8498 0.6092 [1 per cell]
Te 0.7793 0.3516 0.1098 [1 per cell]
Mo 0.1483 0.4439 0.7370 [1 per cell]
Mo 0.6369 0.9006 0.3632 [1 per cell]
Mo 0.6444 0.4024 0.8621 [1 per cell]
Mo 0.8012 0.8184 0.1491 [1 per cell]
Mo 0.8071 0.3188 0.6460 [1 per cell]
Mo 0.9366 0.7537 0.3806 [1 per cell]
Mo 0.9434 0.2543 0.8824 [1 per cell]
Mo 0.9748 0.0252 0.4510 [1 per cell]
Mo 0.9811 0.5283 0.9494 [1 per cell]
Ru 0.1488 0.9442 0.2316 [1 per cell]
Ru 0.8369 0.0935 0.2141 [1 per cell]
Ru 0.8410 0.5960 0.7127 [1 per cell]

The 6 most intense peaks (2θ from 10° to 80°), low angle first:
(hkl), 2theta, I/Imax
0 1 -1, 12.35, 50
0 1 1, 12.49, 100
2 -2 0, 29.99, 58
3 0 -2, 41.65, 38
1 -4 2, 41.78, 40
1 2 4, 42.29, 36

The following is a computed powder X-ray diffraction pattern of Te4Mo2Ru. It was derived from a crystal structure in Alexandria, relaxed with PBE, using Cu Ka.
Neutral-atom scattering factors, no anomalous dispersion.

Crystal structure
Unit cell a=7.1080 b=7.1529 c=7.1727 alpha=92.46 beta=93.41 gamma=94.45
Space group P1 (No. 1)
Inequivalent atoms, fractional coordinates:
Te 0.0000 0.0000 0.0000 [1 per cell]
Te 0.0447 0.3985 0.6738 [1 per cell]
Te 0.1368 0.8808 0.5099 [1 per cell]
Te 0.3862 0.3539 0.2608 [1 per cell]
Te 0.4634 0.8274 0.0930 [1 per cell]
Te 0.5408 0.2274 0.7614 [1 per cell]
Te 0.6360 0.7304 0.6200 [1 per cell]
Te 0.8825 0.5032 0.1640 [1 per cell]
Mo 0.0164 0.2033 0.3381 [1 per cell]
Mo 0.5080 0.0290 0.4269 [1 per cell]
Mo 0.6770 0.1663 0.1332 [1 per cell]
Mo 0.8034 0.8677 0.2957 [1 per cell]
Ru 0.7160 0.3750 0.4752 [1 per cell]
Ru 0.8469 0.0650 0.6399 [1 per cell]

The 6 most intense peaks (2θ from 10° to 80°), low angle first:
(hkl), 2theta, I/Imax
0 0 1, 12.40, 100
1 0 0, 12.52, 53
0 1 2, 28.47, 34
2 0 1, 28.91, 52
-1 3 1, 41.43, 49
1 -1 3, 41.84, 48

The following is a computed powder X-ray diffraction pattern of Ti2MoRu2. It was derived from a crystal structure in Alexandria, relaxed with PBE, using Cu Ka.
Neutral-atom scattering factors, no anomalous dispersion.

Crystal structure
Unit cell a=7.2157 b=7.2157 c=2.9817 alpha=90.00 beta=90.00 gamma=90.00
Space group P4/mbm (No. 127)
Inequivalent atoms, fractional coordinates:
Ti 0.1619 0.3381 0.0000 [4 per cell]
Mo 0.0000 0.0000 0.5000 [2 per cell]
Ru 0.1386 0.6386 0.5000 [4 per cell]

The 6 most intense peaks (2θ from 10° to 80°), low angle first:
(hkl), 2theta, I/Imax
2 1 0, 27.64, 20
0 0 1, 29.97, 26
3 1 0, 39.49, 75
2 1 1, 41.22, 100
3 1 1, 50.36, 29
3 1 2, 76.30, 20

The following is a computed powder X-ray diffraction pattern of V6MoRu2. It was derived from a crystal structure in Alexandria, relaxed with PBE, using Cu Ka.
Neutral-atom scattering factors, no anomalous dispersion.

Crystal structure
Unit cell a=4.2910 b=4.2910 c=7.7763 alpha=90.00 beta=90.00 gamma=120.00
Space group P-3m1 (No. 164)
Inequivalent atoms, fractional coordinates:
V 0.0000 0.0000 0.1621 [2 per cell]
V 0.3333 0.6667 0.2702 [2 per cell]
V 0.3333 0.6667 0.6109 [2 per cell]
Mo 0.0000 0.0000 0.5000 [1 per cell]
Ru 0.3333 0.6667 0.9297 [2 per cell]

The 6 most intense peaks (2θ from 10° to 80°), low angle first:
(hkl), 2theta, I/Imax
0 1 1, 26.59, 21
1 1 0, 42.12, 100
0 1 3, 42.52, 95
2 0 3, 61.39, 30
3 0 0, 76.98, 15
1 2 3, 77.26, 30

The following is a computed powder X-ray diffraction pattern of ZrMo2Ru. It was derived from a crystal structure in Alexandria, relaxed with PBE, using Cu Ka.
Neutral-atom scattering factors, no anomalous dispersion.

Crystal structure
Unit cell a=3.2104 b=3.2104 c=6.4944 alpha=90.00 beta=90.00 gamma=90.00
Space group P4mm (No. 99)
Inequivalent atoms, fractional coordinates:
Zr 0.0000 0.0000 0.0000 [1 per cell]
Mo 0.0000 0.0000 0.4960 [1 per cell]
Mo 0.5000 0.5000 0.2738 [1 per cell]
Ru 0.5000 0.5000 0.7482 [1 per cell]

The 6 most intense peaks (2θ from 10° to 80°), low angle first:
(hkl), 2theta, I/Imax
1 0 2, 39.47, 100
1 1 0, 39.71, 50
0 0 4, 56.70, 8
2 0 0, 57.41, 16
1 1 4, 71.43, 16
2 1 2, 71.90, 33

The following is a computed powder X-ray diffraction pattern of Mo3S4. It was derived from a crystal structure in Alexandria, relaxed with PBE, using Cu Ka.
Neutral-atom scattering factors, no anomalous dispersion.

Crystal structure
Unit cell a=6.3773 b=6.6496 c=6.8682 alpha=104.17 beta=117.41 gamma=103.94
Space group P-1 (No. 2)
Inequivalent atoms, fractional coordinates:
Mo 0.0216 0.0137 0.3080 [2 per cell]
Mo 0.2867 0.5020 0.0041 [2 per cell]
Mo 0.4495 0.9823 0.6788 [2 per cell]
S 0.0137 0.7046 0.4336 [2 per cell]
S 0.0543 0.7672 0.9730 [2 per cell]
S 0.4441 0.2115 0.0312 [2 per cell]
S 0.4672 0.2854 0.5513 [2 per cell]

The 6 most intense peaks (2θ from 10° to 80°), low angle first:
(hkl), 2theta, I/Imax
0 1 0, 15.07, 55
0 1 -1, 16.84, 100
0 1 -2, 29.36, 42
2 -1 0, 31.62, 43
2 0 -2, 31.74, 44
2 -3 0, 45.19, 92